For Ac2PrBi2Te2, a DFT-relaxed cell (GGA-PBE, Alexandria) gives the simulated powder diffraction line list in this record (Cu Kα (λ = 1.5418 Å)).
Peak positions follow from Bragg's law for the DFT cell and can differ from measured ones.

Most intense lines, 2θ from 10° to 90°, low angle first:
| Position (°2θ) | intensity |
| --- | --- |
| 10.65 | 49.8 |
| 20.81 | 27.4 |
| 23.43 | 43.2 |
| 29.59 | 100.0 |
| 30.01 | 61.9 |
| 30.70 | 59.2 |
| 31.53 | 16.9 |
| 42.34 | 38.4 |
| 43.17 | 47.0 |
| 44.38 | 20.2 |
| 52.77 | 26.8 |
| 69.65 | 18.0 |

Atomic structure:
abc: 9.3426 9.3426 9.3426
angles: 142.30 142.30 54.38
Element x y z (fractional)
Ac: 0.1224 0.1224 0.0000
Ac: 0.8776 0.8776 0.0000
Pr: 0.5000 0.5000 0.0000
Bi: 0.0000 0.5000 0.5000
Bi: 0.5000 0.0000 0.5000
Te: 0.3117 0.3117 0.0000
Te: 0.6883 0.6883 0.0000